Structure and computed PXRD pattern of LiNiMo2 (a cell relaxed with GGA-PBE; CuKα).
Intensities are scaled so that the largest is 100.

Atomic structure:
```
data_LiNiMo2
_symmetry_space_group_name_H-M 'P 1'
_symmetry_Int_Tables_number 1
_symmetry_space_group_name_Hall 'P 1'
_cell_length_a 3.1912
_cell_length_b 4.2411
_cell_length_c 8.5292
_cell_angle_alpha 90.00
_cell_angle_beta 90.00
_cell_angle_gamma 90.00
loop_
_atom_site_label
_atom_site_type_symbol
_atom_site_fract_x
_atom_site_fract_y
_atom_site_fract_z
Li1 Li 0.0000 0.0000 0.0000
Li2 Li 0.5000 0.5000 0.0000
Ni1 Ni 0.0000 0.5000 0.7693
Ni2 Ni 0.5000 0.0000 0.7693
Mo1 Mo 0.0000 0.0000 0.5433
Mo2 Mo 0.0000 0.5000 0.2781
Mo3 Mo 0.5000 0.0000 0.2781
Mo4 Mo 0.5000 0.5000 0.5433
```

Main lines, low angle first (10 to 90 degrees two-theta):
2θ (°)	I_rel	index
10.37	100	0 0 1
36.79	19	1 1 1
41.25	99	1 1 2
42.39	22	0 0 4
42.64	23	0 2 0
47.92	11	1 1 3
61.69	14	0 2 4
74.23	10	2 0 4
76.76	13	1 1 6
77.10	15	1 3 2